HoZr3C2S2: computed XRD peak list (a wavelength of 1.5418 Å), based on a GGA-PBE-relaxed structure.

Cell and atoms:
```
data_HoZr3C2S2
_chemical_formula_sum 'Ho1 Zr3 C2 S2'
_symmetry_space_group_name_H-M 'P 1'
_symmetry_Int_Tables_number 1
_cell_length_a 3.4780
_cell_length_b 3.4780
_cell_length_c 12.4374
_cell_angle_alpha 90.00
_cell_angle_beta 90.00
_cell_angle_gamma 120.00
loop_
_symmetry_equiv_pos_as_xyz
'x,y,z'
loop_
_atom_site_label
_atom_site_type_symbol
_atom_site_fract_x
_atom_site_fract_y
_atom_site_fract_z
_atom_site_occupancy
Ho1 Ho 0.0000 0.0000 0.0000 1
Zr1 Zr 0.0000 0.0000 0.6991 1
Zr2 Zr 0.3333 0.6667 0.2092 1
Zr3 Zr 0.3333 0.6667 0.5024 1
C1 C 0.6667 0.3333 0.1137 1
C2 C 0.6667 0.3333 0.6007 1
S1 S 0.0000 0.0000 0.3563 1
S2 S 0.3333 0.6667 0.8424 1
```

Largest 10 diffraction maxima, sorted by position, 10° ≤ 2θ ≤ 90°:
28.71°, I 15, (0 0 4)
29.66°, I 30, (1 0 0)
30.54°, I 31, (0 1 1)
36.89°, I 100, (1 0 3)
41.75°, I 13, (0 1 4)
52.63°, I 28, (1 1 0)
60.50°, I 14, (1 0 7)
66.00°, I 17, (0 2 3)
70.71°, I 12, (1 1 6)
89.21°, I 16, (2 1 3)



HoSc3C2Se2: computed XRD peak list (a wavelength of 1.5418 Å), based on a GGA-PBE-relaxed structure.

Cell and atoms:
```
data_HoSc3C2Se2
_chemical_formula_sum 'Ho1 Sc3 C2 Se2'
_symmetry_space_group_name_H-M 'P 1'
_symmetry_Int_Tables_number 1
_cell_length_a 3.5683
_cell_length_b 3.5683
_cell_length_c 12.5590
_cell_angle_alpha 90.00
_cell_angle_beta 90.00
_cell_angle_gamma 120.00
loop_
_symmetry_equiv_pos_as_xyz
'x,y,z'
loop_
_atom_site_label
_atom_site_type_symbol
_atom_site_fract_x
_atom_site_fract_y
_atom_site_fract_z
_atom_site_occupancy
Ho1 Ho 0.0000 0.0000 0.0000 1
Sc1 Sc 0.0000 0.0000 0.3092 1
Sc2 Sc 0.3333 0.6667 0.5001 1
Sc3 Sc 0.3333 0.6667 0.7966 1
C1 C 0.6667 0.3333 0.4051 1
C2 C 0.6667 0.3333 0.8937 1
Se1 Se 0.0000 0.0000 0.6485 1
Se2 Se 0.3333 0.6667 0.1628 1
```

Largest 10 diffraction maxima, sorted by position, 10° ≤ 2θ ≤ 90°:
14.10°, I 12, (0 0 2)
28.89°, I 32, (1 0 0)
29.77°, I 12, (0 1 1)
32.29°, I 17, (0 1 2)
36.13°, I 100, (0 1 3)
51.20°, I 26, (1 1 0)
52.83°, I 13, (1 0 6)
64.26°, I 18, (2 0 3)
69.19°, I 15, (1 1 6)
86.51°, I 16, (1 2 3)



HoScSnC: computed XRD peak list (a wavelength of 1.5418 Å), based on a GGA-PBE-relaxed structure.

Cell and atoms:
```
data_HoScSnC
_chemical_formula_sum 'Ho2 Sc2 Sn2 C2'
_symmetry_space_group_name_H-M 'P 1'
_symmetry_Int_Tables_number 1
_cell_length_a 3.4856
_cell_length_b 3.4856
_cell_length_c 15.3828
_cell_angle_alpha 90.00
_cell_angle_beta 90.00
_cell_angle_gamma 120.00
loop_
_symmetry_equiv_pos_as_xyz
'x,y,z'
loop_
_atom_site_label
_atom_site_type_symbol
_atom_site_fract_x
_atom_site_fract_y
_atom_site_fract_z
_atom_site_occupancy
Ho1 Ho 0.3333 0.6667 0.4123 1
Ho2 Ho 0.6667 0.3333 0.5877 1
Sc1 Sc 0.3333 0.6667 0.0776 1
Sc2 Sc 0.6667 0.3333 0.9224 1
Sn1 Sn 0.3333 0.6667 0.7607 1
Sn2 Sn 0.6667 0.3333 0.2393 1
C1 C 0.0000 0.0000 0.0000 1
C2 C 0.0000 0.0000 0.5000 1
```

Largest 10 diffraction maxima, sorted by position, 10° ≤ 2θ ≤ 90°:
29.59°, I 22, (1 0 0)
31.85°, I 19, (1 0 2)
34.48°, I 100, (0 1 3)
35.00°, I 19, (0 0 6)
46.47°, I 15, (1 0 6)
52.51°, I 22, (1 1 0)
62.44°, I 15, (0 1 9)
64.34°, I 16, (2 0 3)
64.67°, I 19, (1 1 6)
87.61°, I 15, (1 2 3)



YHoSi2W2C: computed XRD peak list (a wavelength of 1.5418 Å), based on a GGA-PBE-relaxed structure.

Cell and atoms:
```
data_YHoSi2W2C
_chemical_formula_sum 'Y2 Ho2 Si4 W4 C2'
_symmetry_space_group_name_H-M 'P 1'
_symmetry_Int_Tables_number 1
_cell_length_a 11.0861
_cell_length_b 3.8354
_cell_length_c 7.1155
_cell_angle_alpha 90.00
_cell_angle_beta 125.31
_cell_angle_gamma 90.00
loop_
_symmetry_equiv_pos_as_xyz
'x,y,z'
loop_
_atom_site_label
_atom_site_type_symbol
_atom_site_fract_x
_atom_site_fract_y
_atom_site_fract_z
_atom_site_occupancy
Y1 Y 0.0000 0.0000 0.0000 1
Y2 Y 0.5000 0.5000 0.0000 1
Ho1 Ho 0.3507 0.5000 0.4076 1
Ho2 Ho 0.8507 0.0000 0.4076 1
Si1 Si 0.0566 0.5000 0.3646 1
Si2 Si 0.2933 0.0000 0.0423 1
Si3 Si 0.5566 0.0000 0.3646 1
Si4 Si 0.7933 0.5000 0.0423 1
W1 W 0.1323 0.5000 0.7868 1
W2 W 0.2174 0.0000 0.6186 1
W3 W 0.6323 0.0000 0.7868 1
W4 W 0.7174 0.5000 0.6186 1
C1 C 0.4245 0.0000 0.7013 1
C2 C 0.9245 0.5000 0.7013 1
```

Largest 10 diffraction maxima, sorted by position, 10° ≤ 2θ ≤ 90°:
15.26°, I 50, (0 0 1)
31.31°, I 50, (2 0 1)
33.73°, I 93, (3 1 -1)
35.32°, I 100, (1 1 -2)
37.96°, I 24, (3 1 0)
40.16°, I 29, (4 0 -3)
47.41°, I 29, (0 2 0)
56.21°, I 17, (5 1 0)
57.92°, I 18, (2 2 1)
63.86°, I 20, (4 2 -3)



TbHo3Sn2C2: computed XRD peak list (a wavelength of 1.5418 Å), based on a GGA-PBE-relaxed structure.

Cell and atoms:
```
data_TbHo3Sn2C2
_chemical_formula_sum 'Tb1 Ho3 Sn2 C2'
_symmetry_space_group_name_H-M 'P 1'
_symmetry_Int_Tables_number 1
_cell_length_a 3.6108
_cell_length_b 3.6108
_cell_length_c 15.8501
_cell_angle_alpha 90.00
_cell_angle_beta 90.00
_cell_angle_gamma 120.00
loop_
_symmetry_equiv_pos_as_xyz
'x,y,z'
loop_
_atom_site_label
_atom_site_type_symbol
_atom_site_fract_x
_atom_site_fract_y
_atom_site_fract_z
_atom_site_occupancy
Tb1 Tb 0.0000 0.0000 0.0000 1
Ho1 Ho 0.0000 0.0000 0.3316 1
Ho2 Ho 0.3333 0.6667 0.4994 1
Ho3 Ho 0.3333 0.6667 0.8305 1
Sn1 Sn 0.0000 0.0000 0.6651 1
Sn2 Sn 0.3333 0.6667 0.1667 1
C1 C 0.6667 0.3333 0.4156 1
C2 C 0.6667 0.3333 0.9142 1
```

Largest 10 diffraction maxima, sorted by position, 10° ≤ 2θ ≤ 90°:
28.54°, I 22, (1 0 0)
33.29°, I 100, (0 1 3)
33.93°, I 20, (0 0 6)
44.92°, I 16, (1 0 6)
50.56°, I 22, (1 1 0)
60.32°, I 18, (0 1 9)
61.89°, I 17, (2 0 3)
62.29°, I 22, (1 1 6)
82.50°, I 8, (2 0 9)
83.88°, I 15, (1 2 3)



Ho4SnTeC2: computed XRD peak list (a wavelength of 1.5418 Å), based on a GGA-PBE-relaxed structure.

Cell and atoms:
```
data_Ho4SnTeC2
_chemical_formula_sum 'Ho4 Sn1 Te1 C2'
_symmetry_space_group_name_H-M 'P 1'
_symmetry_Int_Tables_number 1
_cell_length_a 3.6949
_cell_length_b 3.6949
_cell_length_c 14.9373
_cell_angle_alpha 90.00
_cell_angle_beta 90.00
_cell_angle_gamma 120.00
loop_
_symmetry_equiv_pos_as_xyz
'x,y,z'
loop_
_atom_site_label
_atom_site_type_symbol
_atom_site_fract_x
_atom_site_fract_y
_atom_site_fract_z
_atom_site_occupancy
Ho1 Ho 0.0000 0.0000 0.1531 1
Ho2 Ho 0.0000 0.0000 0.8469 1
Ho3 Ho 0.6667 0.3333 0.3291 1
Ho4 Ho 0.6667 0.3333 0.6709 1
Sn1 Sn 0.0000 0.0000 0.5000 1
Te1 Te 0.6667 0.3333 0.0000 1
C1 C 0.3333 0.6667 0.2399 1
C2 C 0.3333 0.6667 0.7601 1
```

Largest 10 diffraction maxima, sorted by position, 10° ≤ 2θ ≤ 90°:
27.88°, I 24, (1 0 0)
33.28°, I 100, (1 0 3)
36.08°, I 16, (0 0 6)
46.20°, I 14, (1 0 6)
49.33°, I 24, (1 1 0)
60.81°, I 18, (2 0 3)
62.62°, I 19, (1 1 6)
63.10°, I 13, (1 0 9)
81.98°, I 15, (2 1 3)
84.02°, I 6, (2 0 9)



Ho4TlSnC2: computed XRD peak list (a wavelength of 1.5418 Å), based on a GGA-PBE-relaxed structure.

Cell and atoms:
```
data_Ho4TlSnC2
_chemical_formula_sum 'Ho4 Tl1 Sn1 C2'
_symmetry_space_group_name_H-M 'P 1'
_symmetry_Int_Tables_number 1
_cell_length_a 3.5954
_cell_length_b 3.5954
_cell_length_c 16.0181
_cell_angle_alpha 90.00
_cell_angle_beta 90.00
_cell_angle_gamma 120.00
loop_
_symmetry_equiv_pos_as_xyz
'x,y,z'
loop_
_atom_site_label
_atom_site_type_symbol
_atom_site_fract_x
_atom_site_fract_y
_atom_site_fract_z
_atom_site_occupancy
Ho1 Ho 0.0000 0.0000 0.1643 1
Ho2 Ho 0.0000 0.0000 0.8357 1
Ho3 Ho 0.3333 0.6667 0.3315 1
Ho4 Ho 0.3333 0.6667 0.6685 1
Tl1 Tl 0.0000 0.0000 0.5000 1
Sn1 Sn 0.3333 0.6667 0.0000 1
C1 C 0.6667 0.3333 0.2474 1
C2 C 0.6667 0.3333 0.7526 1
```

Largest 10 diffraction maxima, sorted by position, 10° ≤ 2θ ≤ 90°:
28.67°, I 23, (1 0 0)
33.31°, I 100, (1 0 3)
33.57°, I 21, (0 0 6)
44.71°, I 16, (1 0 6)
50.79°, I 21, (1 1 0)
59.86°, I 19, (1 0 9)
62.10°, I 17, (2 0 3)
62.26°, I 22, (1 1 6)
82.28°, I 8, (2 0 9)
84.25°, I 15, (2 1 3)



TbHoC: computed XRD peak list (a wavelength of 1.5418 Å), based on a GGA-PBE-relaxed structure.

Cell and atoms:
```
data_TbHoC
_chemical_formula_sum 'Tb2 Ho2 C2'
_symmetry_space_group_name_H-M 'P 1'
_symmetry_Int_Tables_number 1
_cell_length_a 4.4397
_cell_length_b 4.4397
_cell_length_c 7.0017
_cell_angle_alpha 90.00
_cell_angle_beta 90.00
_cell_angle_gamma 90.00
loop_
_symmetry_equiv_pos_as_xyz
'x,y,z'
loop_
_atom_site_label
_atom_site_type_symbol
_atom_site_fract_x
_atom_site_fract_y
_atom_site_fract_z
_atom_site_occupancy
Tb1 Tb 0.0000 0.0000 0.2500 1
Tb2 Tb 0.0000 0.0000 0.7500 1
Ho1 Ho 0.5000 0.5000 0.0000 1
Ho2 Ho 0.5000 0.5000 0.5000 1
C1 C 0.0000 0.5000 0.0000 1
C2 C 0.5000 0.0000 0.5000 1
```

Largest 10 diffraction maxima, sorted by position, 10° ≤ 2θ ≤ 90°:
28.43°, I 66, (1 1 0)
32.57°, I 100, (1 0 2)
40.64°, I 29, (2 0 0)
53.02°, I 51, (2 1 2)
60.56°, I 16, (1 1 4)
66.61°, I 12, (3 1 0)
68.23°, I 12, (2 0 4)
68.88°, I 12, (3 0 2)
83.16°, I 14, (3 2 2)
89.48°, I 12, (3 1 4)



Tb3HoTe2C2: computed XRD peak list (a wavelength of 1.5418 Å), based on a GGA-PBE-relaxed structure.

Cell and atoms:
```
data_Tb3HoTe2C2
_chemical_formula_sum 'Tb3 Ho1 Te2 C2'
_symmetry_space_group_name_H-M 'P 1'
_symmetry_Int_Tables_number 1
_cell_length_a 3.8442
_cell_length_b 3.8442
_cell_length_c 14.0814
_cell_angle_alpha 90.00
_cell_angle_beta 90.00
_cell_angle_gamma 120.00
loop_
_symmetry_equiv_pos_as_xyz
'x,y,z'
loop_
_atom_site_label
_atom_site_type_symbol
_atom_site_fract_x
_atom_site_fract_y
_atom_site_fract_z
_atom_site_occupancy
Tb1 Tb 0.0000 0.0000 0.0000 1
Tb2 Tb 0.0000 0.0000 0.3135 1
Tb3 Tb 0.6667 0.3333 0.8119 1
Ho1 Ho 0.6667 0.3333 0.4997 1
Te1 Te 0.0000 0.0000 0.6544 1
Te2 Te 0.6667 0.3333 0.1566 1
C1 C 0.3333 0.6667 0.4075 1
C2 C 0.3333 0.6667 0.9060 1
```

Largest 10 diffraction maxima, sorted by position, 10° ≤ 2θ ≤ 90°:
26.78°, I 26, (1 0 0)
32.99°, I 100, (1 0 3)
38.35°, I 13, (0 0 6)
47.29°, I 26, (1 1 0)
47.39°, I 12, (1 0 6)
58.86°, I 19, (2 0 3)
62.45°, I 19, (1 1 6)
65.97°, I 11, (0 1 9)
78.74°, I 16, (2 1 3)
88.04°, I 9, (3 0 0)



HoTm3Te2C2: computed XRD peak list (a wavelength of 1.5418 Å), based on a GGA-PBE-relaxed structure.

Cell and atoms:
```
data_HoTm3Te2C2
_chemical_formula_sum 'Ho1 Tm3 Te2 C2'
_symmetry_space_group_name_H-M 'P 1'
_symmetry_Int_Tables_number 1
_cell_length_a 3.7834
_cell_length_b 3.7834
_cell_length_c 13.8425
_cell_angle_alpha 90.00
_cell_angle_beta 90.00
_cell_angle_gamma 120.00
loop_
_symmetry_equiv_pos_as_xyz
'x,y,z'
loop_
_atom_site_label
_atom_site_type_symbol
_atom_site_fract_x
_atom_site_fract_y
_atom_site_fract_z
_atom_site_occupancy
Ho1 Ho 0.0000 0.0000 0.0000 1
Tm1 Tm 0.0000 0.0000 0.3151 1
Tm2 Tm 0.3333 0.6667 0.4993 1
Tm3 Tm 0.3333 0.6667 0.8139 1
Te1 Te 0.0000 0.0000 0.6570 1
Te2 Te 0.3333 0.6667 0.1587 1
C1 C 0.6667 0.3333 0.4072 1
C2 C 0.6667 0.3333 0.9058 1
```

Largest 10 diffraction maxima, sorted by position, 10° ≤ 2θ ≤ 90°:
27.22°, I 26, (1 0 0)
33.54°, I 100, (0 1 3)
39.04°, I 13, (0 0 6)
48.10°, I 26, (1 1 0)
48.24°, I 12, (1 0 6)
59.91°, I 19, (2 0 3)
63.61°, I 19, (1 1 6)
67.24°, I 11, (0 1 9)
80.26°, I 16, (1 2 3)
86.87°, I 6, (2 0 9)



YHoTeC: computed XRD peak list (a wavelength of 1.5418 Å), based on a GGA-PBE-relaxed structure.

Cell and atoms:
```
data_YHoTeC
_chemical_formula_sum 'Y2 Ho2 Te2 C2'
_symmetry_space_group_name_H-M 'P 1'
_symmetry_Int_Tables_number 1
_cell_length_a 3.8262
_cell_length_b 3.8262
_cell_length_c 13.9976
_cell_angle_alpha 90.00
_cell_angle_beta 90.00
_cell_angle_gamma 120.00
loop_
_symmetry_equiv_pos_as_xyz
'x,y,z'
loop_
_atom_site_label
_atom_site_type_symbol
_atom_site_fract_x
_atom_site_fract_y
_atom_site_fract_z
_atom_site_occupancy
Y1 Y 0.3333 0.6667 0.0000 1
Y2 Y 0.6667 0.3333 0.5000 1
Ho1 Ho 0.3333 0.6667 0.6867 1
Ho2 Ho 0.6667 0.3333 0.1867 1
Te1 Te 0.3333 0.6667 0.3429 1
Te2 Te 0.6667 0.3333 0.8429 1
C1 C 0.0000 0.0000 0.0946 1
C2 C 0.0000 0.0000 0.5946 1
```

Largest 10 diffraction maxima, sorted by position, 10° ≤ 2θ ≤ 90°:
12.65°, I 7, (0 0 2)
26.91°, I 26, (1 0 0)
33.16°, I 100, (1 0 3)
38.59°, I 13, (0 0 6)
47.53°, I 26, (1 1 0)
47.67°, I 12, (1 0 6)
59.18°, I 19, (2 0 3)
62.82°, I 19, (1 1 6)
66.40°, I 11, (1 0 9)
79.19°, I 16, (2 1 3)



Ho3TmTl2C2: computed XRD peak list (a wavelength of 1.5418 Å), based on a GGA-PBE-relaxed structure.

Cell and atoms:
```
data_Ho3TmTl2C2
_chemical_formula_sum 'Ho3 Tm1 Tl2 C2'
_symmetry_space_group_name_H-M 'P 1'
_symmetry_Int_Tables_number 1
_cell_length_a 3.5888
_cell_length_b 3.5888
_cell_length_c 16.1709
_cell_angle_alpha 90.00
_cell_angle_beta 90.00
_cell_angle_gamma 120.00
loop_
_symmetry_equiv_pos_as_xyz
'x,y,z'
loop_
_atom_site_label
_atom_site_type_symbol
_atom_site_fract_x
_atom_site_fract_y
_atom_site_fract_z
_atom_site_occupancy
Ho1 Ho 0.0000 0.0000 0.0000 1
Ho2 Ho 0.0000 0.0000 0.3356 1
Ho3 Ho 0.6667 0.3333 0.8341 1
Tm1 Tm 0.6667 0.3333 0.4999 1
Tl1 Tl 0.0000 0.0000 0.6661 1
Tl2 Tl 0.6667 0.3333 0.1675 1
C1 C 0.3333 0.6667 0.4182 1
C2 C 0.3333 0.6667 0.9172 1
```

Largest 10 diffraction maxima, sorted by position, 10° ≤ 2θ ≤ 90°:
28.72°, I 18, (1 0 0)
33.27°, I 100, (0 0 6)
44.50°, I 13, (1 0 6)
50.89°, I 17, (1 1 0)
59.43°, I 18, (1 0 9)
62.16°, I 32, (1 1 6)
69.84°, I 6, (0 0 12)
77.15°, I 2, (1 0 12)
81.99°, I 8, (2 0 9)
84.39°, I 12, (2 1 3)